Entry 1:
# UAg7Se6
Theoretical X-ray diffraction stick pattern, Cu Ka. Input: a cell relaxed with GGA-PBE.
Neutral-atom scattering factors, no anomalous dispersion.

Structural model:
```
UAg7Se6
1.0
3.726 2.151 6.886
-3.726 2.151 6.886
0.000 -4.302 6.886
U Ag Se
1 7 6
Direct
0.000 0.000 0.000
0.135 0.429 0.821
0.195 0.846 0.569
0.429 0.821 0.135
0.569 0.195 0.846
0.652 0.652 0.652
0.821 0.135 0.429
0.846 0.569 0.195
0.063 0.745 0.400
0.248 0.594 0.944
0.400 0.063 0.745
0.594 0.944 0.248
0.745 0.400 0.063
0.944 0.248 0.594
```

Main lines, in order of rising 2θ (10 to 90 degrees two-theta):
14.38 deg, I 25.7
16.20 deg, I 23.6
27.22 deg, I 69.6
35.50 deg, I 100.0
42.00 deg, I 77.6
46.47 deg, I 40.6

=====

Entry 2:
# VAg8Se6
Theoretical X-ray diffraction stick pattern, Cu Ka. Input: a cell relaxed with GGA-PBE.
Neutral-atom scattering factors, no anomalous dispersion.

Structural model:
```
VAg8Se6
1.0
8.077 0.000 0.000
0.000 7.731 0.000
0.000 0.000 10.909
V Ag Se
2 16 12
Direct
0.000 0.230 0.000
0.500 0.770 0.500
0.000 0.791 0.957
0.000 0.881 0.521
0.190 0.968 0.753
0.207 0.394 0.344
0.225 0.335 0.634
0.275 0.665 0.134
0.293 0.606 0.844
0.310 0.032 0.253
0.500 0.119 0.021
0.500 0.209 0.457
0.690 0.032 0.253
0.707 0.606 0.844
0.725 0.665 0.134
0.775 0.335 0.634
0.793 0.394 0.344
0.810 0.968 0.753
0.000 0.000 0.142
0.000 0.221 0.487
0.000 0.475 0.131
0.000 0.682 0.726
0.247 0.252 0.884
0.253 0.748 0.384
0.500 0.000 0.642
0.500 0.318 0.226
0.500 0.525 0.631
0.500 0.779 0.987
0.747 0.748 0.384
0.753 0.252 0.884
```

Main lines, in order of rising 2θ (10 to 90 degrees two-theta):
27.48 deg, I 100.0
28.30 deg, I 61.3
34.87 deg, I 64.6
35.18 deg, I 54.6
42.42 deg, I 61.1
46.55 deg, I 78.3

=====

Entry 3:
# VAg7Se6
Theoretical X-ray diffraction stick pattern, Cu Ka. Input: a cell relaxed with GGA-PBE.
Neutral-atom scattering factors, no anomalous dispersion.

Structural model:
```
VAg7Se6
1.0
-2.995 6.529 8.640
2.995 -6.529 8.640
2.995 6.529 -8.640
V Ag Se
2 14 12
Direct
0.250 0.250 0.000
0.750 0.750 0.000
0.078 0.809 0.887
0.152 0.969 0.302
0.167 0.469 0.817
0.250 0.750 0.500
0.333 0.150 0.302
0.348 0.650 0.817
0.422 0.309 0.730
0.578 0.691 0.270
0.652 0.350 0.183
0.667 0.850 0.698
0.750 0.250 0.500
0.833 0.531 0.183
0.848 0.031 0.698
0.922 0.191 0.113
0.063 0.376 0.101
0.120 0.312 0.432
0.226 0.124 0.687
0.274 0.961 0.899
0.380 0.812 0.192
0.437 0.539 0.313
0.563 0.461 0.687
0.620 0.188 0.808
0.726 0.039 0.101
0.774 0.876 0.313
0.880 0.688 0.568
0.937 0.624 0.899
```

Main lines, in order of rising 2θ (10 to 90 degrees two-theta):
10.24 deg, I 69.5
24.71 deg, I 98.0
36.80 deg, I 72.2
40.89 deg, I 76.4
41.83 deg, I 100.0
43.60 deg, I 73.5

=====

Entry 4:
# YAgSe2
Theoretical X-ray diffraction stick pattern, Cu Ka. Input: a cell relaxed with GGA-PBE.
Neutral-atom scattering factors, no anomalous dispersion.

Structural model:
```
YAgSe2
1.0
4.288 0.000 0.000
0.000 6.822 0.000
0.000 0.000 13.835
Y Ag Se
4 4 8
Direct
0.221 0.205 0.373
0.279 0.795 0.873
0.721 0.295 0.627
0.779 0.705 0.127
0.006 0.706 0.372
0.494 0.294 0.872
0.506 0.794 0.628
0.994 0.206 0.128
0.223 0.090 0.726
0.228 0.492 0.526
0.272 0.508 0.026
0.277 0.910 0.226
0.723 0.410 0.274
0.728 0.008 0.474
0.772 0.992 0.974
0.777 0.590 0.774
```

Main lines, in order of rising 2θ (10 to 90 degrees two-theta):
27.75 deg, I 100.0
31.36 deg, I 21.7
32.65 deg, I 23.0
36.07 deg, I 23.5
37.02 deg, I 56.3
44.62 deg, I 23.3

=====

Entry 5:
# Zr2AgSe
Theoretical X-ray diffraction stick pattern, Cu Ka. Input: a cell relaxed with GGA-PBE.
Neutral-atom scattering factors, no anomalous dispersion.

Structural model:
```
Zr2AgSe
1.0
3.310 -1.883 0.000
3.310 1.883 0.000
-2.140 0.000 6.898
Zr Ag Se
2 1 1
Direct
0.242 0.242 0.224
0.758 0.758 0.776
0.000 0.000 0.500
0.500 0.500 0.000
```

Main lines, in order of rising 2θ (10 to 90 degrees two-theta):
32.28 deg, I 100.0
44.23 deg, I 12.7
44.76 deg, I 24.4
47.78 deg, I 22.1
48.33 deg, I 10.7
59.30 deg, I 11.0

=====

Entry 6:
# Zr2Ag4Se5
Theoretical X-ray diffraction stick pattern, Cu Ka. Input: a cell relaxed with GGA-PBE.
Neutral-atom scattering factors, no anomalous dispersion.

Structural model:
```
Zr2Ag4Se5
1.0
2.024 1.168 18.383
-2.024 1.168 18.383
0.000 -2.337 18.383
Zr Ag Se
2 4 5
Direct
0.142 0.142 0.142
0.858 0.858 0.858
0.316 0.316 0.316
0.416 0.416 0.416
0.584 0.584 0.584
0.684 0.684 0.684
0.221 0.221 0.221
0.370 0.370 0.370
0.500 0.500 0.500
0.630 0.630 0.630
0.779 0.779 0.779
```

Main lines, in order of rising 2θ (10 to 90 degrees two-theta):
25.47 deg, I 39.4
26.24 deg, I 24.1
31.14 deg, I 100.0
40.35 deg, I 23.1
44.43 deg, I 48.6
44.79 deg, I 83.3

=====

Entry 7:
# SiAg2
Theoretical X-ray diffraction stick pattern, Cu Ka. Input: a cell relaxed with GGA-PBE.
Neutral-atom scattering factors, no anomalous dispersion.

Structural model:
```
SiAg2
1.0
-3.290 3.290 2.414
3.290 -3.290 2.414
3.290 3.290 -2.414
Si Ag
2 4
Direct
0.250 0.250 0.000
0.750 0.750 0.000
0.154 0.654 0.809
0.346 0.154 0.500
0.654 0.846 0.500
0.846 0.346 0.191
```

Main lines, in order of rising 2θ (10 to 90 degrees two-theta):
35.73 deg, I 100.0
37.24 deg, I 14.3
43.50 deg, I 21.8
66.18 deg, I 15.2
72.43 deg, I 11.4
81.21 deg, I 12.2

=====

Entry 8:
# Si23Ag
Theoretical X-ray diffraction stick pattern, Cu Ka. Input: a cell relaxed with GGA-PBE.
Neutral-atom scattering factors, no anomalous dispersion.

Structural model:
```
Si23Ag
1.0
10.225 0.000 0.000
0.000 10.225 0.000
0.000 0.000 10.225
Si Ag
46 2
Direct
0.000 0.117 0.308
0.000 0.117 0.692
0.000 0.250 0.500
0.000 0.750 0.500
0.000 0.883 0.308
0.000 0.883 0.692
0.117 0.308 0.000
0.117 0.692 0.000
0.183 0.183 0.183
0.183 0.183 0.817
0.183 0.817 0.183
0.183 0.817 0.817
0.192 0.383 0.500
0.192 0.617 0.500
0.250 0.500 0.000
0.308 0.000 0.117
0.308 0.000 0.883
0.317 0.317 0.317
0.317 0.317 0.683
0.317 0.683 0.317
0.317 0.683 0.683
0.383 0.500 0.192
0.383 0.500 0.808
0.500 0.000 0.250
0.500 0.000 0.750
0.500 0.192 0.383
0.500 0.192 0.617
0.500 0.808 0.383
0.500 0.808 0.617
0.617 0.500 0.192
0.617 0.500 0.808
0.683 0.317 0.317
0.683 0.317 0.683
0.683 0.683 0.317
0.683 0.683 0.683
0.692 0.000 0.117
0.692 0.000 0.883
0.750 0.500 0.000
0.808 0.383 0.500
0.808 0.617 0.500
0.817 0.183 0.183
0.817 0.183 0.817
0.817 0.817 0.183
0.817 0.817 0.817
0.883 0.308 0.000
0.883 0.692 0.000
0.000 0.000 0.000
0.500 0.500 0.500
```

Main lines, in order of rising 2θ (10 to 90 degrees two-theta):
12.24 deg, I 81.4
19.41 deg, I 35.7
32.77 deg, I 100.0
37.31 deg, I 25.5
53.79 deg, I 18.9
55.39 deg, I 40.9

=====

Entry 9:
# Si23Ag4
Theoretical X-ray diffraction stick pattern, Cu Ka. Input: a cell relaxed with GGA-PBE.
Neutral-atom scattering factors, no anomalous dispersion.

Structural model:
```
Si23Ag4
1.0
10.176 0.000 0.000
0.000 10.176 0.000
0.000 0.000 10.176
Si Ag
46 8
Direct
0.000 0.116 0.310
0.000 0.116 0.690
0.000 0.250 0.500
0.000 0.750 0.500
0.000 0.884 0.310
0.000 0.884 0.690
0.116 0.310 0.000
0.116 0.690 0.000
0.183 0.183 0.183
0.183 0.183 0.817
0.183 0.817 0.183
0.183 0.817 0.817
0.190 0.384 0.500
0.190 0.616 0.500
0.250 0.500 0.000
0.310 0.000 0.116
0.310 0.000 0.884
0.317 0.317 0.317
0.317 0.317 0.683
0.317 0.683 0.317
0.317 0.683 0.683
0.384 0.500 0.190
0.384 0.500 0.810
0.500 0.000 0.250
0.500 0.000 0.750
0.500 0.190 0.384
0.500 0.190 0.616
0.500 0.810 0.384
0.500 0.810 0.616
0.616 0.500 0.190
0.616 0.500 0.810
0.683 0.317 0.317
0.683 0.317 0.683
0.683 0.683 0.317
0.683 0.683 0.683
0.690 0.000 0.116
0.690 0.000 0.884
0.750 0.500 0.000
0.810 0.384 0.500
0.810 0.616 0.500
0.817 0.183 0.183
0.817 0.183 0.817
0.817 0.817 0.183
0.817 0.817 0.817
0.884 0.310 0.000
0.884 0.690 0.000
0.000 0.000 0.000
0.000 0.500 0.250
0.000 0.500 0.750
0.250 0.000 0.500
0.500 0.250 0.000
0.500 0.500 0.500
0.500 0.750 0.000
0.750 0.000 0.500
```

Main lines, in order of rising 2θ (10 to 90 degrees two-theta):
19.51 deg, I 19.1
30.43 deg, I 26.4
31.70 deg, I 43.6
32.93 deg, I 100.0
35.28 deg, I 21.5
55.68 deg, I 37.3

=====

Entry 10:
# SiAg2
Theoretical X-ray diffraction stick pattern, Cu Ka. Input: a cell relaxed with GGA-PBE.
Neutral-atom scattering factors, no anomalous dispersion.

Structural model:
```
SiAg2
1.0
6.706 0.000 0.000
-3.353 5.808 0.000
0.000 0.000 4.088
Si Ag
3 6
Direct
0.000 0.000 0.000
0.333 0.667 0.500
0.667 0.333 0.500
0.000 0.252 0.500
0.000 0.586 0.000
0.252 0.000 0.500
0.414 0.414 0.000
0.586 0.000 0.000
0.748 0.748 0.500
```

Main lines, in order of rising 2θ (10 to 90 degrees two-theta):
26.63 deg, I 31.3
34.60 deg, I 100.0
38.01 deg, I 57.8
41.12 deg, I 49.8
44.32 deg, I 23.6
62.05 deg, I 27.7

=====

Entry 11:
# Si3Ag2
Theoretical X-ray diffraction stick pattern, Cu Ka. Input: a cell relaxed with GGA-PBE.
Neutral-atom scattering factors, no anomalous dispersion.

Structural model:
```
Si3Ag2
1.0
1.532 0.885 10.157
-1.532 0.885 10.157
0.000 -1.769 10.157
Si Ag
3 2
Direct
0.000 0.000 0.000
0.195 0.195 0.195
0.805 0.805 0.805
0.403 0.403 0.403
0.597 0.597 0.597
```

Main lines, in order of rising 2θ (10 to 90 degrees two-theta):
17.46 deg, I 42.0
33.90 deg, I 24.8
35.83 deg, I 20.0
36.94 deg, I 100.0
45.31 deg, I 52.8
60.41 deg, I 22.5